# 1
# Al2HgAsPt
Computed XRD peak list, Cu Kα (λ = 1.5418 Å). Input: a cell relaxed with PBE.

Top 10 peaks for 10° ≤ 2θ ≤ 80°, by angle:
- (1 0 0), 18.78°, rel. 1000
- (1 1 0), 26.68°, rel. 769
- (0 0 2), 33.88°, rel. 334
- (2 0 0), 38.08°, rel. 487
- (1 0 2), 39.01°, rel. 331
- (2 1 0), 42.79°, rel. 257
- (1 1 2), 43.63°, rel. 422
- (2 0 2), 51.88°, rel. 403
- (2 1 2), 55.66°, rel. 247
- (2 2 2), 66.14°, rel. 196

Structure:
Lattice parameters (Å, degrees): 4.7257 4.7257 5.2924 90.00 90.00 90.00
Space group P4/mmm (No. 123)
Asymmetric unit:
Al: 0.0000 0.5000 0.0000
Hg: 0.0000 0.0000 0.5000
As: 0.5000 0.5000 0.5000
Pt: 0.0000 0.0000 0.0000

=====

# 2
# Al2As2I
Computed XRD peak list, Cu Kα (λ = 1.5418 Å). Input: a cell relaxed with PBE.

Top 10 peaks for 10° ≤ 2θ ≤ 80°, by angle:
- (1 1 0), 25.46°, rel. 850
- (1 1 2), 32.33°, rel. 414
- (1 0 3), 34.79°, rel. 1000
- (2 0 0), 36.32°, rel. 732
- (2 1 3), 51.17°, rel. 655
- (2 2 0), 52.31°, rel. 252
- (3 1 0), 59.05°, rel. 160
- (3 0 3), 64.36°, rel. 163
- (1 1 6), 67.53°, rel. 140
- (3 2 3), 76.21°, rel. 200

Structure:
Lattice parameters (Å, degrees): 4.9470 4.9470 9.0658 90.00 90.00 90.00
Space group I4/mmm (No. 139)
Asymmetric unit:
Al: 0.0000 0.5000 0.2500
As: 0.0000 0.0000 0.1394
I: 0.0000 0.0000 0.5000